# 1
Structure and computed powder diffraction line list of AcLa2Er7 (a cell relaxed with GGA-PBE; Cu Kα).
No peak broadening, texture or thermal motion is included.

Crystal structure
Cell: 6.231 7.219 8.041 Å, 77.56 75.20 73.28°
Positions (direct):
1 Ac 0.000 0.000 0.000
2 La 0.201 0.302 0.597
3 La 0.799 0.698 0.403
4 Er 0.000 0.500 0.000
5 Er 0.200 0.799 0.599
6 Er 0.399 0.103 0.199
7 Er 0.404 0.598 0.199
8 Er 0.596 0.402 0.801
9 Er 0.601 0.897 0.801
10 Er 0.800 0.201 0.401

Most intense lines, 2θ = 15–90°, in order of falling intensity:
d_spacing, two_theta, I (rel.)
2.937, 30.4, 100.0
2.548, 35.2, 68.0
2.957, 30.2, 34.0
1.535, 60.3, 24.3
1.805, 50.6, 16.4
1.796, 50.8, 16.1
1.542, 60.0, 9.8
1.540, 60.1, 9.8
1.533, 60.4, 9.6
1.809, 50.4, 8.2
1.800, 50.7, 8.1
1.168, 82.6, 6.0

=====

# 2
Structure and computed powder diffraction line list of Ac3La4Er4 (a cell relaxed with GGA-PBE; Cu Kα).
No peak broadening, texture or thermal motion is included.

Crystal structure
Cell: 3.677 5.877 18.952 Å, 98.86 95.54 90.01°
Positions (direct):
1 Ac 0.000 0.000 0.000
2 Ac 0.136 0.637 0.274
3 Ac 0.864 0.363 0.726
4 La 0.266 0.266 0.532
5 La 0.408 0.908 0.816
6 La 0.592 0.092 0.184
7 La 0.734 0.734 0.468
8 Er 0.317 0.817 0.635
9 Er 0.456 0.454 0.910
10 Er 0.544 0.546 0.090
11 Er 0.683 0.183 0.365

Most intense lines, 2θ = 15–90°, in order of falling intensity:
d_spacing, two_theta, I (rel.)
2.937, 30.4, 100.0
2.956, 30.2, 62.6
1.558, 59.3, 30.7
3.026, 29.5, 29.7
2.108, 42.9, 21.8
1.695, 54.1, 19.4
1.700, 53.9, 12.8
1.686, 54.4, 12.5
2.059, 44.0, 11.7
1.725, 53.1, 9.7
1.148, 84.4, 9.2
1.839, 49.6, 9.0

=====

# 3
Structure and computed powder diffraction line list of Ac2La8Er (a cell relaxed with GGA-PBE; Cu Kα).
No peak broadening, texture or thermal motion is included.

Crystal structure
Cell: 9.884 9.884 6.205 Å, 105.74 105.74 123.02°
Positions (direct):
1 Ac 0.191 0.809 0.000
2 Ac 0.809 0.191 0.000
3 La 0.081 0.081 0.301
4 La 0.173 0.402 0.813
5 La 0.300 0.700 0.500
6 La 0.402 0.173 0.813
7 La 0.598 0.827 0.187
8 La 0.700 0.300 0.500
9 La 0.827 0.598 0.187
10 La 0.919 0.919 0.699
11 Er 0.500 0.500 0.500

Most intense lines, 2θ = 15–90°, in order of falling intensity:
d_spacing, two_theta, I (rel.)
3.027, 29.5, 100.0
3.084, 29.0, 94.5
2.893, 30.9, 44.3
2.967, 30.1, 38.3
3.389, 26.3, 19.7
2.320, 38.8, 17.5
3.308, 27.0, 16.0
2.936, 30.4, 15.8
1.595, 57.8, 15.7
1.769, 51.7, 15.7
2.449, 36.7, 15.1
2.906, 30.8, 14.6

=====

# 4
Structure and computed powder diffraction line list of AcLa8Er5 (a cell relaxed with GGA-PBE; Cu Kα).
No peak broadening, texture or thermal motion is included.

Crystal structure
Cell: 8.726 8.726 9.741 Å, 123.87 123.87 75.81°
Positions (direct):
1 Ac 0.000 0.000 0.000
2 La 0.105 0.096 0.432
3 La 0.179 0.462 0.901
4 La 0.330 0.335 0.233
5 La 0.538 0.821 0.099
6 La 0.562 0.278 0.740
7 La 0.665 0.670 0.767
8 La 0.722 0.438 0.260
9 La 0.904 0.895 0.568
10 Er 0.202 0.562 0.583
11 Er 0.382 0.020 0.820
12 Er 0.438 0.798 0.417
13 Er 0.751 0.249 0.500
14 Er 0.980 0.618 0.180

Most intense lines, 2θ = 15–90°, in order of falling intensity:
d_spacing, two_theta, I (rel.)
2.763, 32.4, 100.0
3.108, 28.7, 68.0
3.081, 29.0, 64.0
3.355, 26.6, 50.8
2.621, 34.2, 46.4
2.671, 33.6, 29.6
4.037, 22.0, 24.7
2.898, 30.9, 23.0
1.546, 59.8, 20.5
2.179, 41.4, 18.5
1.691, 54.3, 18.0
1.614, 57.1, 17.7